[1]
Calculated X-ray diffraction stick pattern of BaMg6NiO8 for Cu Kα, from DFT lattice parameters and positions (GGA+U).
Kinematic intensities with the Lorentz-polarization factor, no thermal factor.

Most intense lines, 15 to 90 degrees two-theta, by intensity:
| d (Å) | two_theta | I/Imax |
| --- | --- | --- |
| 2.347 | 38.36 | 100 |
| 2.629 | 34.10 | 57 |
| 4.693 | 18.91 | 54 |
| 1.587 | 58.12 | 48 |
| 3.174 | 28.11 | 44 |
| 2.155 | 41.93 | 35 |
| 1.659 | 55.37 | 31 |
| 4.310 | 20.61 | 24 |

```
BaMg6NiO8
1.0
4.6930 0.0000 0.0000
0.0000 4.6930 0.0000
0.0000 0.0000 8.6192
Ba Mg Ni O
1 6 1 8
Cartesian
0.0000 0.0000 0.0000
0.0000 2.3465 2.3067
0.0000 2.3465 6.3125
2.3465 0.0000 2.3067
2.3465 0.0000 6.3125
2.3465 2.3465 0.0000
2.3465 2.3465 4.3096
0.0000 0.0000 4.3096
0.0000 0.0000 2.4729
0.0000 0.0000 6.1463
0.0000 2.3465 0.0000
0.0000 2.3465 4.3096
2.3465 0.0000 0.0000
2.3465 0.0000 4.3096
2.3465 2.3465 2.1680
2.3465 2.3465 6.4512
```

---

[2]
Calculated X-ray diffraction stick pattern of Ba2Mg3Tl2Ni4O12 for Cu Kα, from DFT lattice parameters and positions (GGA+U).
Kinematic intensities with the Lorentz-polarization factor, no thermal factor.

Most intense lines, 15 to 90 degrees two-theta, by intensity:
| d (Å) | two_theta | I/Imax |
| --- | --- | --- |
| 3.168 | 28.17 | 100 |
| 2.913 | 30.70 | 84 |
| 2.641 | 33.94 | 82 |
| 2.618 | 34.25 | 63 |
| 1.868 | 48.76 | 47 |
| 1.859 | 49.00 | 35 |
| 1.609 | 57.26 | 31 |
| 1.572 | 58.73 | 28 |

```
Ba2Mg3Tl2Ni4O12
1.0
-1.8675 1.8675 20.9365
1.8675 -1.8675 20.9365
1.8675 1.8675 -20.9365
Ba Mg Tl Ni O
2 3 2 4 12
Cartesian
0.0000 0.0000 6.3805
0.0000 0.0000 35.4925
0.0000 0.0000 0.0000
0.0000 0.0000 3.0067
0.0000 0.0000 38.8664
0.0000 0.0000 11.6429
0.0000 0.0000 30.2302
0.0000 0.0000 16.6144
0.0000 0.0000 19.4577
0.0000 0.0000 22.4153
0.0000 0.0000 25.2587
1.8675 0.0000 1.4104
1.8675 0.0000 4.2804
0.0000 0.0000 9.5059
0.0000 0.0000 13.7074
1.8675 0.0000 16.6561
1.8675 0.0000 19.5261
0.0000 1.8675 1.4104
0.0000 1.8675 4.2804
0.0000 0.0000 28.1656
0.0000 0.0000 32.3671
0.0000 1.8675 16.6561
0.0000 1.8675 19.5261
```

---

[3]
Calculated X-ray diffraction stick pattern of Ba2MgNiWO6 for Cu Kα, from DFT lattice parameters and positions (GGA+U).
Kinematic intensities with the Lorentz-polarization factor, no thermal factor.

Most intense lines, 15 to 90 degrees two-theta, by intensity:
| d (Å) | two_theta | I/Imax |
| --- | --- | --- |
| 3.085 | 28.95 | 100 |
| 2.832 | 31.59 | 81 |
| 3.074 | 29.05 | 57 |
| 3.137 | 28.46 | 56 |
| 4.413 | 20.12 | 51 |
| 2.195 | 41.12 | 41 |
| 1.777 | 51.43 | 26 |
| 2.876 | 31.10 | 23 |

```
Ba2MgNiWO6
1.0
5.4038 -3.0736 0.0000
5.4038 3.0736 0.0000
-2.7670 0.0000 5.8243
Ba Mg Ni W O
2 1 1 1 6
Cartesian
0.0000 0.0000 0.0000
4.6174 0.0000 4.3678
3.9045 0.0000 0.5395
7.5961 0.0000 1.6028
0.9824 0.0000 3.3806
3.1057 1.7197 0.4630
1.8408 1.6156 3.2718
-0.8004 0.0000 3.7029
5.8250 0.0000 0.6205
1.8408 -1.6156 3.2718
3.1057 -1.7197 0.4630
```

---

[4]
Calculated X-ray diffraction stick pattern of Ba2MgNiWO6 for Cu Kα, from DFT lattice parameters and positions (GGA+U).
Kinematic intensities with the Lorentz-polarization factor, no thermal factor.

Most intense lines, 15 to 90 degrees two-theta, by intensity:
| d (Å) | two_theta | I/Imax |
| --- | --- | --- |
| 2.990 | 29.88 | 100 |
| 3.125 | 28.57 | 50 |
| 2.682 | 33.41 | 46 |
| 2.160 | 41.81 | 33 |
| 4.917 | 18.04 | 30 |
| 1.660 | 55.33 | 24 |
| 1.726 | 53.05 | 20 |
| 1.751 | 52.24 | 19 |

```
Ba2MgNiWO6
1.0
5.1832 -2.9874 0.0000
5.1832 2.9874 0.0000
-3.4602 0.0000 5.2249
Ba Mg Ni W O
2 1 1 1 6
Cartesian
0.0000 0.0000 0.0000
3.4505 0.0000 3.2154
-0.0056 0.0000 5.0828
-0.0133 0.0000 2.7292
6.9080 0.0000 1.6998
8.4618 0.0000 2.8702
0.9491 1.6391 2.8680
2.5334 1.5909 0.5012
2.5334 -1.5909 0.5012
5.2944 0.0000 0.5006
0.9491 -1.6391 2.8680
```

---

[5]
Calculated X-ray diffraction stick pattern of Ba2YMgNi3O8 for Cu Kα, from DFT lattice parameters and positions (GGA+U).
Kinematic intensities with the Lorentz-polarization factor, no thermal factor.

Most intense lines, 15 to 90 degrees two-theta, by intensity:
| d (Å) | two_theta | I/Imax |
| --- | --- | --- |
| 2.994 | 29.84 | 100 |
| 2.770 | 32.31 | 71 |
| 2.603 | 34.46 | 60 |
| 1.959 | 46.35 | 48 |
| 1.639 | 56.10 | 33 |
| 1.565 | 59.01 | 24 |
| 3.482 | 25.58 | 23 |
| 2.168 | 41.66 | 21 |

```
Ba2YMgNi3O8
1.0
3.9180 0.0000 0.0000
0.0000 3.9180 0.0000
0.0000 0.0000 13.9282
Ba Y Mg Ni O
2 1 1 3 8
Cartesian
0.0000 0.0000 0.0000
0.0000 0.0000 3.9186
0.0000 0.0000 9.9970
0.0000 0.0000 7.1218
1.9590 1.9590 1.7428
1.9590 1.9590 7.1902
1.9590 1.9590 11.6586
0.0000 1.9590 2.0731
0.0000 1.9590 7.7709
0.0000 1.9590 11.0297
1.9590 0.0000 2.0731
1.9590 0.0000 7.7709
1.9590 0.0000 11.0297
1.9590 1.9590 5.2012
1.9590 1.9590 13.6343
```

---

[6]
Calculated X-ray diffraction stick pattern of Ba2YMgNi3O8 for Cu Kα, from DFT lattice parameters and positions (GGA+U).
Kinematic intensities with the Lorentz-polarization factor, no thermal factor.

Most intense lines, 15 to 90 degrees two-theta, by intensity:
| d (Å) | two_theta | I/Imax |
| --- | --- | --- |
| 2.606 | 34.42 | 100 |
| 2.783 | 32.16 | 99 |
| 2.653 | 33.79 | 78 |
| 3.057 | 29.22 | 71 |
| 1.633 | 56.33 | 69 |
| 2.985 | 29.93 | 47 |
| 2.009 | 45.14 | 44 |
| 1.591 | 57.97 | 43 |

```
Ba2YMgNi3O8
1.0
3.8589 0.0000 0.0000
0.0000 4.0171 0.0000
0.0000 0.0000 14.1317
Ba Y Mg Ni O
2 1 1 3 8
Cartesian
0.0000 0.0000 0.0000
0.0000 0.0000 3.9409
0.0000 0.0000 7.7664
0.0000 2.0085 11.2908
1.9295 2.0085 1.9919
1.9295 2.0085 5.9497
1.9295 2.0085 9.5197
0.0000 2.0085 1.4906
0.0000 2.0085 6.5463
0.0000 2.0085 9.3614
1.9295 0.0000 1.6279
1.9295 0.0000 6.2389
1.9295 0.0000 9.0796
1.9295 2.0085 3.9704
1.9295 2.0085 11.8048
```